This entry pairs a crystal structure of RbLu2Cu3Se5 with its theoretical powder diffractogram. Radiation: Cu Kα (λ = 1.5418 Å). Structure: a GGA-PBE-relaxed structure.
No peak broadening, texture or thermal motion is included.

Crystal structure
Lattice parameters (Å, degrees): 4.0759 14.5015 16.8715 90.00 90.00 90.00
Space group Cmcm (No. 63)
Symmetry-distinct sites (fractional):
Rb: 0.0000 0.0621 0.2500 [4 per cell]
Lu: 0.0000 0.1913 0.5925 [8 per cell]
Cu: 0.0000 0.3450 0.2500 [4 per cell]
Cu: 0.0000 0.4160 0.5317 [8 per cell]
Se: 0.0000 0.1695 0.0715 [8 per cell]
Se: 0.0000 0.2448 0.7500 [4 per cell]
Se: 0.0000 0.4390 0.1166 [8 per cell]

Main lines, in order of rising 2θ (10° ≤ 2θ ≤ 90°):
2theta, I/Imax, index
12.21, 60, 0 2 0
28.65, 79, 1 3 0
29.15, 100, 1 3 1
30.58, 72, 1 3 2
31.82, 78, 0 0 6
35.83, 75, 1 3 4
38.08, 63, 1 5 0
39.41, 48, 0 2 7
44.45, 67, 2 0 0
47.70, 64, 1 3 7

=====

This entry pairs a crystal structure of CuAg8 with its theoretical powder diffractogram. Radiation: Cu Kα (λ = 1.5418 Å). Structure: a GGA-PBE-relaxed structure.
No peak broadening, texture or thermal motion is included.

Crystal structure
Lattice parameters (Å, degrees): 15.0004 2.9218 8.6912 90.00 125.31 90.00
Space group C2/m (No. 12)
Symmetry-distinct sites (fractional):
Cu: 0.0000 0.0000 0.0000 [2 per cell]
Ag: 0.0000 0.0000 0.3296 [4 per cell]
Ag: 0.1625 0.5000 0.0000 [4 per cell]
Ag: 0.1625 0.5000 0.3251 [4 per cell]
Ag: 0.1668 0.5000 0.6668 [4 per cell]

Main lines, in order of rising 2θ (10° ≤ 2θ ≤ 90°):
2theta, I/Imax, index
37.87, 100, 3 1 0
38.09, 97, 0 0 3
44.02, 64, 3 1 -3
44.40, 31, 6 0 0
63.70, 10, 0 2 0
64.31, 48, 3 1 3
76.70, 23, 0 2 3
77.12, 22, 9 1 -6
77.39, 11, 9 1 0
80.94, 10, 6 2 0

=====

This entry pairs a crystal structure of SmBH6SO9 with its theoretical powder diffractogram. Radiation: Cu Kα (λ = 1.5418 Å). Structure: a GGA-PBE-relaxed structure.
No peak broadening, texture or thermal motion is included.

Crystal structure
Lattice parameters (Å, degrees): 6.0756 6.6513 8.4227 81.03 76.57 87.13
Space group P-1 (No. 2)
Symmetry-distinct sites (fractional):
Sm: 0.0982 0.1909 0.2671 [2 per cell]
B: 0.4013 0.7870 0.7530 [2 per cell]
H: 0.0226 0.7564 0.0656 [2 per cell]
H: 0.1590 0.4192 0.9037 [2 per cell]
H: 0.2864 0.0834 0.7858 [2 per cell]
H: 0.3510 0.5129 0.6863 [2 per cell]
H: 0.4412 0.7856 0.9904 [2 per cell]
H: 0.4474 0.1900 0.4978 [2 per cell]
S: 0.2385 0.7222 0.3154 [2 per cell]
O: 0.0906 0.8345 0.4422 [2 per cell]
O: 0.1062 0.2873 0.9726 [2 per cell]
O: 0.1351 0.5305 0.3097 [2 per cell]
O: 0.2303 0.9519 0.7764 [2 per cell]
O: 0.2459 0.8626 0.1554 [2 per cell]
O: 0.2568 0.6174 0.7434 [2 per cell]
O: 0.4133 0.1706 0.3928 [2 per cell]
O: 0.4678 0.6924 0.3468 [2 per cell]
O: 0.4764 0.2567 0.1147 [2 per cell]

Main lines, in order of rising 2θ (10° ≤ 2θ ≤ 90°):
2theta, I/Imax, index
14.99, 65, 1 0 0
16.06, 72, 0 1 1
16.43, 68, 1 0 1
18.61, 46, 0 1 -1
20.10, 52, 1 1 1
20.52, 33, 1 0 -1
21.94, 100, 0 0 2
27.15, 51, 0 2 0
33.08, 44, -1 2 1
33.46, 39, 1 -2 1

=====

This entry pairs a crystal structure of TaPbSe2 with its theoretical powder diffractogram. Radiation: Cu Kα (λ = 1.5418 Å). Structure: a GGA-PBE-relaxed structure.
No peak broadening, texture or thermal motion is included.

Crystal structure
Lattice parameters (Å, degrees): 3.4577 3.4577 9.0083 90.00 90.00 120.00
Space group P-6m2 (No. 187)
Symmetry-distinct sites (fractional):
Ta: 0.0000 0.0000 0.0000 [1 per cell]
Pb: 0.3333 0.6667 0.5000 [1 per cell]
Se: 0.6667 0.3333 0.1868 [2 per cell]

Main lines, in order of rising 2θ (10° ≤ 2θ ≤ 90°):
2theta, I/Imax, index
19.71, 32, 0 0 2
31.48, 100, 1 0 1
36.02, 56, 1 0 2
42.64, 49, 1 0 3
52.96, 30, 1 1 0
59.92, 19, 1 0 5
62.93, 14, 2 0 1
68.41, 14, 1 1 4
85.70, 13, 1 1 6
86.71, 12, 2 1 1